1.
Computed powder X-ray diffraction pattern of EuGa4Au3 for λ = 1.5418 Å (Cu Kα), from DFT lattice parameters and positions (PBE).

Principal peaks in the range 2θ from 10° to 90°, in order of rising 2θ:
index  d (Å)  Position (°2θ)  Rel. int.
1 0 1  3.936  22.59  470
1 1 0  3.119  28.62  396
1 0 2  3.101  28.79  1000
1 1 1  2.937  30.44  311
1 1 2  2.537  35.38  301
2 0 0  2.205  40.92  820
1 1 3  2.126  42.51  719
1 0 4  1.954  46.46  406
2 1 2  1.797  50.80  424
2 1 4  1.463  63.61  320

Structural model:
```
data_EuGa4Au3
_cell_length_a 4.411
_cell_length_b 4.411
_cell_length_c 8.720
_cell_angle_alpha 90.00
_cell_angle_beta 90.00
_cell_angle_gamma 90.00
_space_group_name_H-M_alt 'P 4/m m m'
_space_group_IT_number 123
_space_group_name_Hall '-P 4 2'
loop_
_atom_site_label
_atom_site_fract_x
_atom_site_fract_y
_atom_site_fract_z
Eu1 0.000 0.000 0.000
Ga1 0.000 0.500 0.325
Au1 0.000 0.000 0.500
Au2 0.500 0.500 0.158
```

2.
Computed powder X-ray diffraction pattern of LaRh2 for λ = 1.5418 Å (Cu Kα), from DFT lattice parameters and positions (PBE).

Principal peaks in the range 2θ from 10° to 90°, in order of rising 2θ:
index  d (Å)  Position (°2θ)  Rel. int.
2 2 0  2.729  32.82  358
3 1 1  2.327  38.69  1000
2 2 2  2.228  40.49  319
4 0 0  1.930  47.10  19
4 2 2  1.575  58.59  135
5 1 1  1.485  62.53  320
4 4 0  1.364  68.81  265
6 2 0  1.220  78.35  58
5 3 3  1.177  81.84  111
6 2 2  1.164  82.99  115

Structural model:
Unit cell a=7.718 b=7.718 c=7.718 alpha=90.00 beta=90.00 gamma=90.00
Space group Fd-3m (No. 227, origin choice 2)
Asymmetric unit:
La 0.125 0.125 0.125 (multiplicity 8)
Rh 0.000 0.000 0.500 (multiplicity 16)

3.
Computed powder X-ray diffraction pattern of PmCdRh2 for λ = 1.5418 Å (Cu Kα), from DFT lattice parameters and positions (PBE).

Principal peaks in the range 2θ from 10° to 90°, in order of rising 2θ:
index  d (Å)  Position (°2θ)  Rel. int.
1 1 1  3.896  22.83  11
2 0 0  3.374  26.42  14
2 2 0  2.386  37.71  1000
3 1 1  2.035  44.53  6
4 0 0  1.687  54.39  170
4 2 0  1.509  61.45  5
4 2 2  1.377  68.07  341
4 4 0  1.193  80.53  106

Structural model:
```
data_PmCdRh2
_cell_length_a 6.748
_cell_length_b 6.748
_cell_length_c 6.748
_cell_angle_alpha 90.00
_cell_angle_beta 90.00
_cell_angle_gamma 90.00
_space_group_name_H-M_alt 'F m -3 m'
_space_group_IT_number 225
_space_group_name_Hall '-F 4 2 3'
loop_
_atom_site_label
_atom_site_fract_x
_atom_site_fract_y
_atom_site_fract_z
Pm1 0.000 0.000 0.000
Cd1 0.000 0.000 0.500
Rh1 0.250 0.250 0.250
```